Starting from a DFT-relaxed cell (PBE, Alexandria), the powder XRD pattern of Nd2TmSe4 was simulated for copper Kα.

Largest 12 diffraction maxima, sorted by position, 10 to 80 degrees two-theta:
2θ/deg, d/Å, I (rel.)
13.92, 6.364, 17
25.09, 3.549, 55
25.45, 3.500, 38
32.52, 2.753, 100
35.16, 2.553, 38
38.88, 2.316, 27
42.28, 2.138, 28
45.36, 1.999, 34
47.87, 1.900, 16
50.82, 1.797, 21
54.29, 1.690, 15
68.18, 1.376, 17

Cell and atoms:
```
Nd2TmSe4
1.0
7.542 0.000 0.000
0.000 11.855 0.000
0.000 0.000 4.276
Nd Tm Se
4 2 8
direct
0.105 0.187 0.000
0.395 0.687 0.000
0.605 0.313 0.000
0.895 0.813 0.000
0.000 0.500 0.500
0.500 0.000 0.500
0.125 0.719 0.500
0.242 0.450 0.000
0.258 0.950 0.000
0.375 0.219 0.500
0.625 0.781 0.500
0.742 0.050 0.000
0.758 0.550 0.000
0.875 0.281 0.500
```